# 1
BeSe: theoretical powder diffractogram (CuKα), based on a crystal structure in the Materials Project, relaxed with GGA-PBE.
No peak broadening, texture or thermal motion is included.

Principal peaks in the range 5° ≤ 2θ ≤ 70°, in order of rising 2θ:
- 29.85 deg, I 100.0
- 34.61 deg, I 42.5
- 49.75 deg, I 40.2
- 59.11 deg, I 41.5
- 62.02 deg, I 10.2

Structure:
```
BeSe
1.0
5.184 0.000 0.000
0.000 5.184 0.000
0.000 0.000 5.184
Be Se
4 4
Direct
0.000 0.000 0.000
0.000 0.500 0.500
0.500 0.000 0.500
0.500 0.500 0.000
0.250 0.250 0.250
0.250 0.750 0.750
0.750 0.250 0.750
0.750 0.750 0.250
```



# 2
Nd2SbO2: theoretical powder diffractogram (CuKα), based on a crystal structure in the Materials Project, relaxed with GGA-PBE.
No peak broadening, texture or thermal motion is included.

Principal peaks in the range 5° ≤ 2θ ≤ 70°, in order of rising 2θ:
- 29.25 deg, I 100.0
- 29.85 deg, I 91.8
- 31.62 deg, I 65.7
- 51.09 deg, I 46.2
- 54.51 deg, I 33.5
- 55.58 deg, I 27.3

Structure:
```
Nd2SbO2
1.0
4.072 0.000 0.000
0.000 13.839 0.000
0.000 0.000 7.869
Nd Sb O
8 4 8
Direct
0.250 0.084 0.126
0.250 0.088 0.624
0.250 0.412 0.624
0.250 0.416 0.126
0.750 0.584 0.874
0.750 0.588 0.376
0.750 0.912 0.376
0.750 0.916 0.874
0.250 0.750 0.093
0.250 0.750 0.656
0.750 0.250 0.344
0.750 0.250 0.907
0.250 0.001 0.872
0.250 0.499 0.872
0.250 0.505 0.378
0.250 0.995 0.378
0.750 0.005 0.622
0.750 0.495 0.622
0.750 0.501 0.128
0.750 0.999 0.128
```



# 3
Tm2Pt: theoretical powder diffractogram (CuKα), based on a crystal structure in the Materials Project, relaxed with GGA-PBE.
No peak broadening, texture or thermal motion is included.

Principal peaks in the range 5° ≤ 2θ ≤ 70°, in order of rising 2θ:
- 30.74 deg, I 79.4
- 31.62 deg, I 34.2
- 33.31 deg, I 100.0
- 36.48 deg, I 69.5
- 38.11 deg, I 65.7
- 44.85 deg, I 28.7

Structure:
```
Tm2Pt
1.0
7.069 0.000 0.000
0.000 4.723 0.000
0.000 0.000 8.659
Tm Pt
8 4
Direct
0.012 0.250 0.169
0.145 0.250 0.577
0.355 0.750 0.077
0.488 0.750 0.669
0.512 0.250 0.331
0.645 0.250 0.923
0.855 0.750 0.423
0.988 0.750 0.831
0.241 0.250 0.905
0.259 0.750 0.405
0.741 0.250 0.595
0.759 0.750 0.095
```



# 4
K2NaAsF6: theoretical powder diffractogram (CuKα), based on a crystal structure in the Materials Project, relaxed with GGA-PBE.
No peak broadening, texture or thermal motion is included.

Principal peaks in the range 5° ≤ 2θ ≤ 70°, in order of rising 2θ:
- 17.71 deg, I 41.4
- 20.48 deg, I 20.7
- 29.12 deg, I 100.0
- 41.66 deg, I 76.5
- 51.63 deg, I 37.5
- 60.38 deg, I 42.9

Structure:
```
K2NaAsF6
1.0
0.000 4.336 4.336
4.336 0.000 4.336
4.336 4.336 0.000
K Na As F
2 1 1 6
Direct
0.250 0.250 0.250
0.750 0.750 0.750
0.000 0.000 0.000
0.500 0.500 0.500
0.262 0.262 0.738
0.262 0.738 0.262
0.262 0.738 0.738
0.738 0.262 0.262
0.738 0.262 0.738
0.738 0.738 0.262
```



# 5
MgAs4Rh6: theoretical powder diffractogram (CuKα), based on a crystal structure in the Materials Project, relaxed with GGA-PBE.
No peak broadening, texture or thermal motion is included.

Principal peaks in the range 5° ≤ 2θ ≤ 70°, in order of rising 2θ:
- 13.84 deg, I 33.7
- 37.17 deg, I 27.1
- 37.43 deg, I 100.0
- 45.01 deg, I 76.4
- 49.33 deg, I 38.6
- 50.16 deg, I 25.0

Structure:
```
MgAs4Rh6
1.0
7.389 0.000 0.000
-3.695 6.399 0.000
0.000 0.000 3.637
Mg As Rh
1 4 6
Direct
0.000 0.000 0.000
0.188 0.376 0.500
0.188 0.812 0.500
0.624 0.812 0.500
0.667 0.333 0.000
0.069 0.534 0.000
0.384 0.192 0.500
0.466 0.534 0.000
0.466 0.931 0.000
0.808 0.192 0.500
0.808 0.616 0.500
```



# 6
MgSi2: theoretical powder diffractogram (CuKα), based on a crystal structure in the Materials Project, relaxed with GGA-PBE.
No peak broadening, texture or thermal motion is included.

Principal peaks in the range 5° ≤ 2θ ≤ 70°, in order of rising 2θ:
- 19.33 deg, I 22.1
- 37.71 deg, I 51.5
- 38.12 deg, I 49.9
- 39.74 deg, I 100.0
- 40.20 deg, I 32.6
- 54.38 deg, I 17.0

Structure:
```
MgSi2
1.0
3.338 0.000 0.000
0.070 6.748 0.000
0.106 0.005 9.186
Mg Si
4 8
Direct
0.250 0.125 0.250
0.250 0.625 0.250
0.750 0.375 0.750
0.750 0.875 0.750
0.248 0.124 0.550
0.249 0.625 0.551
0.251 0.124 0.950
0.251 0.626 0.949
0.749 0.374 0.051
0.749 0.876 0.050
0.751 0.375 0.449
0.752 0.876 0.450
```



# 7
Re3Br9O2: theoretical powder diffractogram (CuKα), based on a crystal structure in the Materials Project, relaxed with GGA-PBE.
No peak broadening, texture or thermal motion is included.

Principal peaks in the range 5° ≤ 2θ ≤ 70°, in order of rising 2θ:
- 8.45 deg, I 39.4
- 12.45 deg, I 69.9
- 12.94 deg, I 74.7
- 13.68 deg, I 100.0
- 30.43 deg, I 46.8
- 31.70 deg, I 39.0

Structure:
```
Re3Br9O2
1.0
7.141 -5.408 0.000
7.141 5.408 0.000
-0.969 0.000 10.467
Re Br O
6 18 4
Direct
0.087 0.310 0.364
0.287 0.287 0.162
0.310 0.087 0.364
0.690 0.913 0.636
0.713 0.713 0.838
0.913 0.690 0.636
0.040 0.506 0.190
0.115 0.798 0.738
0.130 0.130 0.550
0.136 0.136 0.018
0.185 0.502 0.512
0.202 0.885 0.262
0.444 0.444 0.282
0.494 0.960 0.810
0.498 0.815 0.488
0.502 0.185 0.512
0.506 0.040 0.190
0.556 0.556 0.718
0.798 0.115 0.738
0.815 0.498 0.488
0.864 0.864 0.982
0.870 0.870 0.450
0.885 0.202 0.262
0.960 0.494 0.810
0.333 0.667 0.000
0.345 0.345 0.022
0.655 0.655 0.978
0.667 0.333 0.000
```



# 8
UGaRh: theoretical powder diffractogram (CuKα), based on a crystal structure in the Materials Project, relaxed with GGA-PBE.
No peak broadening, texture or thermal motion is included.

Principal peaks in the range 5° ≤ 2θ ≤ 70°, in order of rising 2θ:
- 29.97 deg, I 25.0
- 34.02 deg, I 87.3
- 37.31 deg, I 100.0
- 40.00 deg, I 35.1
- 44.23 deg, I 26.5
- 60.36 deg, I 30.5

Structure:
```
UGaRh
1.0
6.885 0.000 0.000
-3.443 5.963 0.000
0.000 0.000 4.095
U Ga Rh
3 3 3
Direct
0.000 0.579 0.000
0.421 0.421 0.000
0.579 0.000 0.000
0.000 0.239 0.500
0.239 0.000 0.500
0.761 0.761 0.500
0.000 0.000 0.000
0.333 0.667 0.500
0.667 0.333 0.500
```



# 9
Ti2Be17: theoretical powder diffractogram (CuKα), based on a crystal structure in the Materials Project, relaxed with GGA-PBE.
No peak broadening, texture or thermal motion is included.

Principal peaks in the range 5° ≤ 2θ ≤ 70°, in order of rising 2θ:
- 18.68 deg, I 52.1
- 24.29 deg, I 76.2
- 35.05 deg, I 100.0
- 42.73 deg, I 45.4
- 49.76 deg, I 41.6
- 50.08 deg, I 74.8

Structure:
```
Ti2Be17
1.0
7.330 0.000 0.000
-3.665 6.348 0.000
0.000 0.000 7.157
Ti Be
4 34
Direct
0.000 0.000 0.250
0.000 0.000 0.750
0.333 0.667 0.250
0.667 0.333 0.750
0.000 0.500 0.000
0.000 0.500 0.500
0.039 0.370 0.750
0.039 0.669 0.750
0.164 0.329 0.015
0.164 0.329 0.485
0.164 0.836 0.015
0.164 0.836 0.485
0.329 0.164 0.515
0.329 0.164 0.985
0.331 0.370 0.750
0.331 0.961 0.750
0.333 0.667 0.602
0.333 0.667 0.898
0.370 0.039 0.250
0.370 0.331 0.250
0.500 0.000 0.000
0.500 0.000 0.500
0.500 0.500 0.000
0.500 0.500 0.500
0.630 0.669 0.750
0.630 0.961 0.750
0.667 0.333 0.102
0.667 0.333 0.398
0.669 0.039 0.250
0.669 0.630 0.250
0.671 0.836 0.015
0.671 0.836 0.485
0.836 0.164 0.515
0.836 0.164 0.985
0.836 0.671 0.515
0.836 0.671 0.985
0.961 0.331 0.250
0.961 0.630 0.250
```



# 10
CaUO4: theoretical powder diffractogram (CuKα), based on a crystal structure in the Materials Project, relaxed with GGA-PBE.
No peak broadening, texture or thermal motion is included.

Principal peaks in the range 5° ≤ 2θ ≤ 70°, in order of rising 2θ:
- 16.17 deg, I 50.6
- 23.93 deg, I 36.5
- 29.02 deg, I 100.0
- 37.96 deg, I 20.7
- 47.95 deg, I 37.0
- 57.96 deg, I 29.1

Structure:
```
CaUO4
1.0
3.718 0.000 0.000
0.000 3.718 0.000
0.000 0.000 5.481
Ca U O
1 1 4
Direct
0.000 0.000 0.000
0.500 0.500 0.500
0.000 0.500 0.277
0.000 0.500 0.723
0.500 0.000 0.277
0.500 0.000 0.723
```



# 11
Sc2TlC: theoretical powder diffractogram (CuKα), based on a crystal structure in the Materials Project, relaxed with GGA-PBE.
No peak broadening, texture or thermal motion is included.

Principal peaks in the range 5° ≤ 2θ ≤ 70°, in order of rising 2θ:
- 11.53 deg, I 64.2
- 23.18 deg, I 23.2
- 30.56 deg, I 21.0
- 31.13 deg, I 40.6
- 35.07 deg, I 21.0
- 35.35 deg, I 100.0

Structure:
```
Sc2TlC
1.0
3.378 0.000 0.000
-1.689 2.925 0.000
0.000 0.000 15.351
Sc Tl C
4 2 2
Direct
0.333 0.667 0.080
0.333 0.667 0.420
0.667 0.333 0.580
0.667 0.333 0.920
0.333 0.667 0.750
0.667 0.333 0.250
0.000 0.000 0.000
0.000 0.000 0.500
```



# 12
Ge3Cl8: theoretical powder diffractogram (CuKα), based on a crystal structure in the Materials Project, relaxed with GGA-PBE.
No peak broadening, texture or thermal motion is included.

Principal peaks in the range 5° ≤ 2θ ≤ 70°, in order of rising 2θ:
- 9.56 deg, I 36.4
- 13.54 deg, I 87.2
- 23.56 deg, I 100.0
- 28.55 deg, I 33.6
- 41.42 deg, I 28.1
- 50.31 deg, I 35.0

Structure:
```
Ge3Cl8
1.0
0.000 9.248 9.248
9.248 0.000 9.248
9.248 9.248 0.000
Ge Cl
12 32
Direct
0.000 0.000 0.000
0.233 0.922 0.922
0.250 0.250 0.250
0.422 0.422 0.422
0.422 0.422 0.733
0.422 0.733 0.422
0.500 0.500 0.500
0.733 0.422 0.422
0.750 0.750 0.750
0.922 0.233 0.922
0.922 0.922 0.233
0.922 0.922 0.922
0.037 0.303 0.927
0.037 0.733 0.303
0.037 0.927 0.733
0.183 0.183 0.183
0.183 0.183 0.450
0.183 0.450 0.183
0.233 0.427 0.537
0.233 0.537 0.803
0.233 0.803 0.427
0.303 0.037 0.733
0.303 0.733 0.927
0.303 0.927 0.037
0.427 0.233 0.803
0.427 0.537 0.233
0.427 0.803 0.537
0.450 0.183 0.183
0.537 0.233 0.427
0.537 0.427 0.803
0.537 0.803 0.233
0.683 0.683 0.683
0.683 0.683 0.950
0.683 0.950 0.683
0.733 0.037 0.927
0.733 0.303 0.037
0.733 0.927 0.303
0.803 0.233 0.537
0.803 0.427 0.233
0.803 0.537 0.427
0.927 0.037 0.303
0.927 0.303 0.733
0.927 0.733 0.037
0.950 0.683 0.683
```